For AlNiW2O8, a crystal structure in Alexandria, relaxed with PBE+U gives the theoretical powder X-ray diffraction pattern in this record (Cu Kα).
No peak broadening, texture or thermal motion is included.

The 10 most intense peaks (15 to 90 degrees two-theta), sorted by position:
two_theta	I_rel	hkl
19.40	780	0 0 2
23.80	738	1 1 -1
25.14	821	0 1 2
30.63	1000	1 1 1
31.14	973	1 1 -3
35.74	369	2 0 -2
36.77	539	1 2 -1
42.10	360	1 2 -3
53.03	319	0 3 2
54.65	310	1 2 3

Structural model:
a = 5.026 Å, b = 5.595 Å, c = 10.346 Å
α = 90.00°, β = 117.79°, γ = 90.00°
Space group P2/c (No. 13)
Symmetry-distinct sites (fractional):
Al: 0.000 0.145 0.250 x2
Ni: 0.500 0.144 0.750 x2
W: 0.260 0.339 0.004 x4
O: 0.191 0.383 0.609 x4
O: 0.208 0.131 0.137 x4
O: 0.260 0.115 0.868 x4
O: 0.296 0.372 0.378 x4